SiO2: theoretical X-ray powder pattern (CuKα), based on a GGA-PBE-relaxed structure.
Kinematic intensities with the Lorentz-polarization factor, no thermal factor.

Structure:
a b c (Å): 19.345 18.792 5.452
angles (deg): 90.00 97.34 90.00
Space group C2/m (No. 12)
Symmetry-distinct sites (fractional):
Si (0.058, 0.000, 0.459) (multiplicity 4)
Si (0.059, 0.500, 0.464) (multiplicity 4)
Si (0.175, 0.425, 0.291) (multiplicity 8)
Si (0.178, 0.076, 0.640) (multiplicity 8)
Si (0.249, 0.308, 0.079) (multiplicity 8)
O (0.018, 0.000, 0.718) (multiplicity 4)
O (0.019, 0.500, 0.717) (multiplicity 4)
O (0.106, 0.428, 0.435) (multiplicity 8)
O (0.107, 0.071, 0.440) (multiplicity 8)
O (0.174, 0.500, 0.133) (multiplicity 4)
O (0.177, 0.000, 0.795) (multiplicity 4)
O (0.179, 0.355, 0.110) (multiplicity 8)
O (0.182, 0.144, 0.825) (multiplicity 8)
O (0.248, 0.422, 0.486) (multiplicity 8)
O (0.250, 0.226, 0.203) (multiplicity 8)

Largest 6 diffraction maxima, in order of rising 2θ, 10° ≤ 2θ ≤ 90°:
2θ (°)  I/Imax  h k l
13.19  54.0  2 2 0
17.12  84.4  1 1 -1
18.23  48.4  1 1 1
18.94  100.0  0 2 1
19.85  17.9  2 0 1
33.79  18.6  2 6 -1

---

Ba5Tm8Zn4O21: theoretical X-ray powder pattern (CuKα), based on a GGA-PBE-relaxed structure.
Kinematic intensities with the Lorentz-polarization factor, no thermal factor.

Structure:
a b c (Å): 13.756 13.756 5.702
angles (deg): 90.00 90.00 90.00
Space group I4/m (No. 87)
Symmetry-distinct sites (fractional):
Ba (0.000, 0.000, 0.000) (multiplicity 2)
Ba (0.036, 0.360, 0.500) (multiplicity 8)
Tm (0.089, 0.859, 0.500) (multiplicity 8)
Tm (0.168, 0.248, 0.000) (multiplicity 8)
Zn (0.041, 0.751, 0.000) (multiplicity 8)
O (0.000, 0.000, 0.500) (multiplicity 2)
O (0.040, 0.370, 0.000) (multiplicity 8)
O (0.049, 0.177, 0.252) (multiplicity 16)
O (0.149, 0.744, 0.250) (multiplicity 16)

Largest 6 diffraction maxima, in order of rising 2θ, 10° ≤ 2θ ≤ 90°:
2θ (°)  I/Imax  h k l
28.14  45.7  2 3 1
31.06  100.0  4 1 1
31.38  42.1  0 0 2
36.25  36.0  4 3 1
46.34  19.0  1 5 2
55.66  19.4  4 1 3

---

Nb3Bi5O15: theoretical X-ray powder pattern (CuKα), based on a GGA-PBE-relaxed structure.
Kinematic intensities with the Lorentz-polarization factor, no thermal factor.

Structure:
a b c (Å): 22.122 5.526 5.598
angles (deg): 90.00 90.00 90.00
Space group Pnc2 (No. 30)
Symmetry-distinct sites (fractional):
Nb (0.000, 0.000, 0.000) (multiplicity 2)
Nb (0.392, 0.002, 0.518) (multiplicity 4)
Bi (0.124, 0.525, 0.061) (multiplicity 4)
Bi (0.241, 0.012, 0.020) (multiplicity 4)
Bi (0.500, 0.000, 0.094) (multiplicity 2)
O (0.022, 0.245, 0.706) (multiplicity 4)
O (0.086, 0.605, 0.433) (multiplicity 4)
O (0.191, 0.242, 0.766) (multiplicity 4)
O (0.192, 0.744, 0.762) (multiplicity 4)
O (0.310, 0.007, 0.512) (multiplicity 4)
O (0.410, 0.207, 0.208) (multiplicity 4)
O (0.411, 0.730, 0.269) (multiplicity 4)
O (0.500, 0.000, 0.480) (multiplicity 2)

Largest 6 diffraction maxima, in order of rising 2θ, 10° ≤ 2θ ≤ 90°:
2θ (°)  I/Imax  h k l
12.00  15.8  3 0 0
27.84  100.0  4 1 1
31.97  15.3  0 0 2
32.39  30.0  0 2 0
46.16  27.4  0 2 2
55.03  27.2  4 3 1

---

K3Ta3B2O12: theoretical X-ray powder pattern (CuKα), based on a GGA-PBE-relaxed structure.
Kinematic intensities with the Lorentz-polarization factor, no thermal factor.

Structure:
a b c (Å): 8.8887 8.8887 3.9472
angles (deg): 90.00 90.00 120.00
Space group P-62m (No. 189)
Symmetry-distinct sites (fractional):
K (0.0000, 0.4039, 0.0000) (multiplicity 3)
Ta (0.0000, 0.7534, 0.5000) (multiplicity 3)
B (0.3333, 0.6667, 0.5000) (multiplicity 2)
O (0.0000, 0.1790, 0.5000) (multiplicity 3)
O (0.0000, 0.7369, 0.0000) (multiplicity 3)
O (0.1886, 0.6853, 0.5000) (multiplicity 6)

Largest 6 diffraction maxima, in order of rising 2θ, 10° ≤ 2θ ≤ 90°:
2θ (°)  I/Imax  h k l
11.50  61.1  1 0 0
19.98  94.2  1 1 0
22.53  51.7  0 0 1
30.28  85.3  1 1 1
30.73  100.0  2 1 0
38.44  44.0  2 1 1

---

ZnCu2GeSe2S2: theoretical X-ray powder pattern (CuKα), based on a GGA-PBE-relaxed structure.
Kinematic intensities with the Lorentz-polarization factor, no thermal factor.

Structure:
a b c (Å): 7.746 6.722 6.378
angles (deg): 90.00 90.00 90.00
Space group Pmn2_1 (No. 31)
Symmetry-distinct sites (fractional):
Zn (0.000, 0.143, 0.000) (multiplicity 2)
Cu (0.248, 0.313, 0.488) (multiplicity 4)
Ge (0.000, 0.841, 0.499) (multiplicity 2)
Se (0.248, 0.661, 0.368) (multiplicity 4)
S (0.000, 0.158, 0.374) (multiplicity 2)
S (0.000, 0.821, 0.860) (multiplicity 2)

Largest 6 diffraction maxima, in order of rising 2θ, 10° ≤ 2θ ≤ 90°:
2θ (°)  I/Imax  h k l
26.55  100.0  2 1 0
27.98  58.9  0 0 2
30.08  68.8  2 1 1
46.87  77.8  4 0 0
50.84  80.5  2 1 3
55.47  45.7  4 0 2